(1)
Starting from the GGA-PBE geometry in the Materials Project, the powder diffraction line list of Na2Zn2Se3 was computed for copper Kα.
Neutral-atom scattering factors, no anomalous dispersion.

```
data_Na2Zn2Se3
_symmetry_space_group_name_H-M 'C 1 2/c 1'
_symmetry_Int_Tables_number 15
_symmetry_space_group_name_Hall '-C 2yc'
_cell_length_a 15.595
_cell_length_b 13.757
_cell_length_c 7.116
_cell_angle_alpha 90.00
_cell_angle_beta 116.99
_cell_angle_gamma 90.00
loop_
_atom_site_label
_atom_site_fract_x
_atom_site_fract_y
_atom_site_fract_z
Na1 0.000 0.070 0.250
Na2 0.000 0.222 0.750
Na3 0.105 0.415 0.637
Zn1 0.186 0.234 0.262
Zn2 0.213 0.077 0.797
Se1 0.114 0.383 0.055
Se2 0.136 0.218 0.551
Se3 0.149 0.075 0.068
```

Peak list (8 most intense, 2θ = 15–90°, sorted by position)
| two_theta | I/Imax | index |
| --- | --- | --- |
| 23.1 | 79 | 1 3 -1 |
| 25.0 | 69 | 2 0 -2 |
| 25.6 | 45 | 4 0 0 |
| 26.4 | 82 | 1 3 1 |
| 28.2 | 44 | 4 0 -2 |
| 34.8 | 92 | 2 4 1 |
| 42.9 | 100 | 3 3 -3 |
| 45.7 | 64 | 5 3 1 |

(2)
Starting from the GGA-PBE geometry in the Materials Project, the powder diffraction line list of Na2ZnSe2 was computed for copper Kα.
Neutral-atom scattering factors, no anomalous dispersion.

```
data_Na2ZnSe2
_symmetry_space_group_name_H-M 'I b a m'
_symmetry_Int_Tables_number 72
_symmetry_space_group_name_Hall '-I 2 2c'
_cell_length_a 6.757
_cell_length_b 11.748
_cell_length_c 6.221
_cell_angle_alpha 90.00
_cell_angle_beta 90.00
_cell_angle_gamma 90.00
loop_
_atom_site_label
_atom_site_fract_x
_atom_site_fract_y
_atom_site_fract_z
Na1 0.155 0.140 0.000
Zn1 0.000 0.500 0.250
Se1 0.215 0.387 0.000
```

Peak list (8 most intense, 2θ = 15–90°, sorted by position)
| two_theta | I/Imax | index |
| --- | --- | --- |
| 15.1 | 100 | 0 2 0 |
| 24.7 | 82 | 1 2 1 |
| 26.3 | 27 | 2 0 0 |
| 31.1 | 22 | 2 1 1 |
| 39.4 | 57 | 2 0 2 |
| 40.7 | 44 | 2 4 0 |
| 42.3 | 65 | 0 4 2 |
| 45.5 | 21 | 3 2 1 |